# LiFe2Mo
Simulated powder XRD pattern, Cu Kα X-rays. Input: a cell relaxed with PBE.
Lines closer than 0.1° are merged.

Top 10 peaks for 10° ≤ 2θ ≤ 80°, low angle first:
two_theta	I/Imax	(hkl)
17.07	71	0 0 1
28.79	64	0 1 1
39.78	26	1 0 1
41.90	100	0 1 2
42.87	95	1 1 0
46.46	21	1 1 1
47.02	36	0 2 0
50.48	56	1 0 2
70.33	13	1 1 3
71.45	37	1 2 2

Atomic structure:
```
data_LiFe2Mo
_space_group_name_H-M_alt 'P m m m'
_space_group_IT_number 47
_cell_length_a 2.5178
_cell_length_b 3.8653
_cell_length_c 5.1957
_cell_angle_alpha 90.00
_cell_angle_beta 90.00
_cell_angle_gamma 90.00
loop_
_space_group_symop_operation_xyz
'x,y,z'
'-x,-y,-z'
'-x,-y,z'
'x,y,-z'
'x,-y,-z'
'-x,y,z'
'-x,y,-z'
'x,-y,z'
loop_
_atom_site_label
_atom_site_fract_x
_atom_site_fract_y
_atom_site_fract_z
Li1 0.0000 0.0000 0.0000
Fe1 0.5000 0.5000 0.2354
Mo1 0.0000 0.0000 0.5000
```